# 1
# Zr4N3OF5
Computed powder XRD pattern, λ = 1.5418 Å (Cu Kα). Input: a cell relaxed with GGA-PBE.
Peak positions follow from Bragg's law for the DFT cell and can differ from measured ones.

Peak list (6 most intense, 10 to 90 degrees two-theta, in order of rising 2θ)
28.8 deg, I = 100
28.9 deg, I = 98
32.8 deg, I = 32
33.0 deg, I = 29
47.2 deg, I = 37
56.4 deg, I = 30

Cell and atoms:
Cell: 5.2045 5.4349 21.8129 Å, 90.00 90.43 90.00°
Fractional coordinates of all 52 atoms:
Zr: 0.1857 0.2118 0.1279
Zr: 0.1857 0.2882 0.6279
Zr: 0.1891 0.7333 0.7501
Zr: 0.1891 0.7667 0.2501
Zr: 0.1971 0.7321 0.5007
Zr: 0.1971 0.7679 0.0007
Zr: 0.1985 0.2191 0.3718
Zr: 0.1985 0.2809 0.8718
Zr: 0.8015 0.7191 0.1282
Zr: 0.8015 0.7809 0.6282
Zr: 0.8029 0.2321 0.9993
Zr: 0.8029 0.2679 0.4993
Zr: 0.8109 0.2333 0.7499
Zr: 0.8109 0.2667 0.2499
Zr: 0.8143 0.7118 0.3721
Zr: 0.8143 0.7882 0.8721
N: 0.0287 0.0359 0.9379
N: 0.0287 0.4641 0.4379
N: 0.0393 0.0038 0.6857
N: 0.0393 0.4962 0.1857
N: 0.0425 0.0046 0.8123
N: 0.0425 0.4954 0.3123
N: 0.9575 0.5046 0.6877
N: 0.9575 0.9954 0.1877
N: 0.9607 0.5038 0.8143
N: 0.9607 0.9962 0.3143
N: 0.9713 0.5359 0.5621
N: 0.9713 0.9641 0.0621
O: 0.0136 0.0358 0.5602
O: 0.0136 0.4642 0.0602
O: 0.9864 0.5358 0.9398
O: 0.9864 0.9642 0.4398
F: 0.4253 0.1221 0.2514
F: 0.4253 0.3779 0.7514
F: 0.4318 0.6263 0.6514
F: 0.4318 0.8737 0.1514
F: 0.4367 0.6374 0.8506
F: 0.4367 0.8626 0.3506
F: 0.4525 0.1206 0.0477
F: 0.4525 0.3794 0.5477
F: 0.4774 0.1251 0.4486
F: 0.4774 0.3749 0.9486
F: 0.5226 0.6251 0.0514
F: 0.5226 0.8749 0.5514
F: 0.5475 0.6206 0.4523
F: 0.5475 0.8794 0.9523
F: 0.5633 0.1374 0.6494
F: 0.5633 0.3626 0.1494
F: 0.5682 0.1263 0.8486
F: 0.5682 0.3737 0.3486
F: 0.5747 0.6221 0.2486
F: 0.5747 0.8779 0.7486

=====

# 2
# Ta5Nb2Mo
Computed powder XRD pattern, λ = 1.5418 Å (Cu Kα). Input: a cell relaxed with GGA-PBE.
Peak positions follow from Bragg's law for the DFT cell and can differ from measured ones.

Peak list (6 most intense, 10 to 90 degrees two-theta, in order of rising 2θ)
38.0 deg, I = 100
38.3 deg, I = 69
38.4 deg, I = 50
40.5 deg, I = 34
41.0 deg, I = 18
57.1 deg, I = 25

Cell and atoms:
Cell: 5.6110 10.9635 4.6853 Å, 90.00 90.00 90.00°
Fractional coordinates of all 16 atoms:
Ta: 0.0000 0.0000 0.0000
Ta: 0.1450 0.2537 0.0000
Ta: 0.1569 0.6125 0.5000
Ta: 0.3431 0.1125 0.5000
Ta: 0.3550 0.7537 0.0000
Ta: 0.5000 0.5000 0.0000
Ta: 0.6450 0.2463 0.0000
Ta: 0.6569 0.8875 0.5000
Ta: 0.8431 0.3875 0.5000
Ta: 0.8550 0.7463 0.0000
Nb: 0.1554 0.8711 0.5000
Nb: 0.3446 0.3711 0.5000
Nb: 0.6554 0.6289 0.5000
Nb: 0.8446 0.1289 0.5000
Mo: 0.0000 0.5000 0.0000
Mo: 0.5000 0.0000 0.0000

=====

# 3
# Pu3PdAu4
Computed powder XRD pattern, λ = 1.5418 Å (Cu Kα). Input: a cell relaxed with GGA-PBE.
Peak positions follow from Bragg's law for the DFT cell and can differ from measured ones.

Peak list (6 most intense, 10 to 90 degrees two-theta, in order of rising 2θ)
35.1 deg, I = 100
39.8 deg, I = 36
42.5 deg, I = 15
57.5 deg, I = 12
59.7 deg, I = 22
69.2 deg, I = 29

Cell and atoms:
Cell: 17.5899 4.5293 4.5320 Å, 90.00 104.89 90.00°
Fractional coordinates of all 16 atoms:
Pu: 0.0000 0.0000 0.0000
Pu: 0.2486 0.5000 0.7489
Pu: 0.2514 0.0000 0.2511
Pu: 0.5000 0.5000 0.0000
Pu: 0.7486 0.0000 0.7489
Pu: 0.7514 0.5000 0.2511
Pd: 0.0000 0.5000 0.5000
Pd: 0.5000 0.0000 0.5000
Au: 0.1217 0.0000 0.6217
Au: 0.1216 0.5000 0.1228
Au: 0.3784 0.0000 0.8772
Au: 0.3783 0.5000 0.3783
Au: 0.6216 0.0000 0.1228
Au: 0.6217 0.5000 0.6217
Au: 0.8783 0.0000 0.3783
Au: 0.8784 0.5000 0.8772

=====

# 4
# HoTm4Bi5
Computed powder XRD pattern, λ = 1.5418 Å (Cu Kα). Input: a cell relaxed with GGA-PBE.
Peak positions follow from Bragg's law for the DFT cell and can differ from measured ones.

Peak list (6 most intense, 10 to 90 degrees two-theta, in order of rising 2θ)
28.5 deg, I = 100
40.7 deg, I = 78
50.4 deg, I = 28
58.9 deg, I = 13
66.7 deg, I = 37
74.0 deg, I = 28

Cell and atoms:
Cell: 11.7333 11.7333 11.7333 Å, 158.21 149.00 38.21°
Fractional coordinates of all 10 atoms:
Ho: 0.0000 0.0000 0.0000
Tm: 0.2004 0.2004 0.0000
Tm: 0.4001 0.4001 0.0000
Tm: 0.5999 0.5999 0.0000
Tm: 0.7996 0.7996 0.0000
Bi: 0.1008 0.6008 0.5000
Bi: 0.3002 0.8002 0.5000
Bi: 0.5000 0.0000 0.5000
Bi: 0.6998 0.1998 0.5000
Bi: 0.8992 0.3992 0.5000

=====

# 5
# K4NaHg
Computed powder XRD pattern, λ = 1.5418 Å (Cu Kα). Input: a cell relaxed with GGA-PBE.
Peak positions follow from Bragg's law for the DFT cell and can differ from measured ones.

Peak list (6 most intense, 10 to 90 degrees two-theta, in order of rising 2θ)
11.0 deg, I = 100
14.0 deg, I = 100
17.9 deg, I = 95
26.3 deg, I = 93
29.9 deg, I = 97
31.7 deg, I = 78

Cell and atoms:
Cell: 10.2082 10.2082 10.2082 Å, 128.15 128.15 76.39°
Fractional coordinates of all 12 atoms:
K: 0.0336 0.5336 0.8444
K: 0.1893 0.0336 0.5000
K: 0.3107 0.8107 0.8444
K: 0.4664 0.3107 0.5000
K: 0.5336 0.6893 0.5000
K: 0.6893 0.1893 0.1556
K: 0.8107 0.9664 0.5000
K: 0.9664 0.4664 0.1556
Na: 0.0000 0.0000 0.0000
Na: 0.5000 0.5000 0.0000
Hg: 0.2500 0.2500 0.0000
Hg: 0.7500 0.7500 0.0000

=====

# 6
# Na3LiBe2F8
Computed powder XRD pattern, λ = 1.5418 Å (Cu Kα). Input: a cell relaxed with GGA-PBE.
Peak positions follow from Bragg's law for the DFT cell and can differ from measured ones.

Peak list (6 most intense, 10 to 90 degrees two-theta, in order of rising 2θ)
33.9 deg, I = 38
41.9 deg, I = 100
44.3 deg, I = 19
48.8 deg, I = 41
71.4 deg, I = 19
86.4 deg, I = 17

Cell and atoms:
Cell: 5.2855 5.2855 6.4612 Å, 90.00 90.00 120.00°
Fractional coordinates of all 14 atoms:
Na: 0.0000 0.0000 0.0000
Na: 0.3333 0.6667 0.6466
Na: 0.6667 0.3333 0.3534
Li: 0.0000 0.0000 0.5000
Be: 0.3333 0.6667 0.2149
Be: 0.6667 0.3333 0.7851
F: 0.1751 0.3501 0.3106
F: 0.1751 0.8249 0.3106
F: 0.3333 0.6667 0.9808
F: 0.3501 0.1751 0.6894
F: 0.6499 0.8249 0.3106
F: 0.6667 0.3333 0.0192
F: 0.8249 0.1751 0.6894
F: 0.8249 0.6499 0.6894

=====

# 7
# K3UI7
Computed powder XRD pattern, λ = 1.5418 Å (Cu Kα). Input: a cell relaxed with GGA-PBE.
Peak positions follow from Bragg's law for the DFT cell and can differ from measured ones.

Peak list (6 most intense, 10 to 90 degrees two-theta, in order of rising 2θ)
11.9 deg, I = 100
12.5 deg, I = 74
14.4 deg, I = 57
29.0 deg, I = 71
30.3 deg, I = 68
31.0 deg, I = 81

Cell and atoms:
Cell: 8.3423 8.3423 9.3150 Å, 115.76 115.76 84.27°
Fractional coordinates of all 11 atoms:
K: 0.0000 0.0000 0.0000
K: 0.2938 0.7340 0.6025
K: 0.7340 0.2938 0.6025
U: 0.5619 0.5619 0.1552
I: 0.1941 0.5411 0.8436
I: 0.3692 0.3692 0.2600
I: 0.3732 0.8841 0.3213
I: 0.5411 0.1941 0.8436
I: 0.7085 0.7085 0.9806
I: 0.8746 0.8746 0.5262
I: 0.8841 0.3732 0.3213

=====

# 8
# AgHgP
Computed powder XRD pattern, λ = 1.5418 Å (Cu Kα). Input: a cell relaxed with GGA-PBE.
Peak positions follow from Bragg's law for the DFT cell and can differ from measured ones.

Peak list (6 most intense, 10 to 90 degrees two-theta, in order of rising 2θ)
21.2 deg, I = 37
25.4 deg, I = 40
30.6 deg, I = 55
30.8 deg, I = 100
32.6 deg, I = 37
46.9 deg, I = 38

Cell and atoms:
Cell: 4.5165 5.9208 6.1893 Å, 99.04 111.28 90.18°
Fractional coordinates of all 6 atoms:
Ag: 0.0000 0.0000 0.0000
Ag: 0.3389 0.8979 0.6800
Hg: 0.3779 0.4146 0.7682
Hg: 0.6670 0.4461 0.3362
P: 0.5903 0.0302 0.1809
P: 0.7461 0.8603 0.4946

=====

Repeat the second record exactly.
# Ta5Nb2Mo
Computed powder XRD pattern, λ = 1.5418 Å (Cu Kα). Input: a cell relaxed with GGA-PBE.
Peak positions follow from Bragg's law for the DFT cell and can differ from measured ones.

Peak list (6 most intense, 10 to 90 degrees two-theta, in order of rising 2θ)
38.0 deg, I = 100
38.3 deg, I = 69
38.4 deg, I = 50
40.5 deg, I = 34
41.0 deg, I = 18
57.1 deg, I = 25

Cell and atoms:
Cell: 5.6110 10.9635 4.6853 Å, 90.00 90.00 90.00°
Fractional coordinates of all 16 atoms:
Ta: 0.0000 0.0000 0.0000
Ta: 0.1450 0.2537 0.0000
Ta: 0.1569 0.6125 0.5000
Ta: 0.3431 0.1125 0.5000
Ta: 0.3550 0.7537 0.0000
Ta: 0.5000 0.5000 0.0000
Ta: 0.6450 0.2463 0.0000
Ta: 0.6569 0.8875 0.5000
Ta: 0.8431 0.3875 0.5000
Ta: 0.8550 0.7463 0.0000
Nb: 0.1554 0.8711 0.5000
Nb: 0.3446 0.3711 0.5000
Nb: 0.6554 0.6289 0.5000
Nb: 0.8446 0.1289 0.5000
Mo: 0.0000 0.5000 0.0000
Mo: 0.5000 0.0000 0.0000